This entry pairs a crystal structure of LaNiSnH2 with its computed PXRD pattern. Radiation: a wavelength of 1.5418 Å. Structure: DFT lattice parameters and positions (GGA-PBE).
Peak positions follow from Bragg's law for the DFT cell and can differ from measured ones.

Most intense lines, 2θ from 10° to 80°, by intensity:
2θ (°)  d [Å]  I_rel
31.0  2.887  100
40.7  2.217  48
59.3  1.558  31
52.0  1.758  23
68.1  1.378  21
41.2  2.190  15

Atomic structure:
```
LaNiSnH2
1.0
4.4335 0.0000 0.0000
-2.2168 3.8395 0.0000
0.0000 0.0000 8.7606
La Ni Sn H
2 2 2 4
direct
0.0000 0.0000 0.0000
0.0000 0.0000 0.5000
0.3333 0.6667 0.2500
0.6667 0.3333 0.7500
0.3333 0.6667 0.7500
0.6667 0.3333 0.2500
0.3333 0.6667 0.0669
0.3333 0.6667 0.4331
0.6667 0.3333 0.5669
0.6667 0.3333 0.9331
```

This entry pairs a crystal structure of In4CoP with its computed PXRD pattern. Radiation: a wavelength of 1.5418 Å. Structure: DFT lattice parameters and positions (GGA-PBE).
Peak positions follow from Bragg's law for the DFT cell and can differ from measured ones.

Most intense lines, 2θ from 10° to 80°, by intensity:
2θ (°)  d [Å]  I_rel
35.7  2.513  100
37.4  2.406  72
18.4  4.812  54
57.5  1.604  32
63.1  1.473  31
75.7  1.256  26

Atomic structure:
```
In4CoP
1.0
0.0000 4.1669 4.1669
4.1669 0.0000 4.1669
4.1669 4.1669 0.0000
In Co P
4 1 1
direct
0.1251 0.1251 0.1251
0.1251 0.1251 0.6247
0.1251 0.6247 0.1251
0.6247 0.1251 0.1251
0.5000 0.5000 0.5000
0.7500 0.7500 0.7500
```